# Cs3PmI7
Calculated PXRD pattern, Cu Kα X-rays. Input: a crystal structure in Alexandria, relaxed with PBE.

Atomic structure:
```
data_Cs3PmI7
_chemical_formula_sum 'Cs6 Pm2 I14'
_cell_length_a 13.7047
_cell_length_b 12.3738
_cell_length_c 9.7564
_cell_angle_alpha 90.00
_cell_angle_beta 132.45
_cell_angle_gamma 90.00
_space_group_name_H-M_alt 'C 1 m 1'
_space_group_IT_number 8
_space_group_name_Hall 'C -2y'
loop_
_atom_site_label
_atom_site_type_symbol
_atom_site_fract_x
_atom_site_fract_y
_atom_site_fract_z
Cs1 Cs 0.0000 0.0000 0.0000
Cs2 Cs 0.4870 0.2226 0.4320
Pm1 Pm 0.4308 0.0000 0.8685
I1 I 0.1271 0.3211 0.1925
I2 I 0.1292 0.5000 0.8073
I3 I 0.1325 0.0000 0.4856
I4 I 0.3011 0.0000 0.0377
I5 I 0.3740 0.2452 0.7087
```

Peak list (10 most intense, 2θ from 5° to 70°, in order of rising 2θ)
7.830 Å, 11.3 deg, I = 45.8, (1 1 0)
4.692 Å, 18.9 deg, I = 100.0, (0 2 1)
3.821 Å, 23.3 deg, I = 50.3, (1 3 0)
3.424 Å, 26.0 deg, I = 87.7, (4 0 -2)
3.139 Å, 28.4 deg, I = 42.0, (2 0 -3)
3.093 Å, 28.9 deg, I = 67.6, (0 4 0)
3.066 Å, 29.1 deg, I = 49.5, (1 3 1)
2.867 Å, 31.2 deg, I = 87.6, (2 2 1)
2.799 Å, 32.0 deg, I = 76.6, (2 2 -3)
2.734 Å, 32.8 deg, I = 69.8, (4 2 -3)

# Cs4PrI5
Calculated PXRD pattern, Cu Kα X-rays. Input: a crystal structure in Alexandria, relaxed with PBE.

Atomic structure:
```
data_Cs4PrI5
_chemical_formula_sum 'Cs8 Pr2 I10'
_cell_length_a 11.8668
_cell_length_b 11.8668
_cell_length_c 7.7868
_cell_angle_alpha 90.00
_cell_angle_beta 90.00
_cell_angle_gamma 90.00
_space_group_name_H-M_alt 'I 4'
_space_group_IT_number 79
_space_group_name_Hall 'I 4'
loop_
_atom_site_label
_atom_site_type_symbol
_atom_site_fract_x
_atom_site_fract_y
_atom_site_fract_z
Cs1 Cs 0.0890 0.7072 0.0000
Pr1 Pr 0.0000 0.0000 0.4707
I1 I 0.0000 0.0000 0.8937
I2 I 0.0868 0.7321 0.4953
```

Peak list (10 most intense, 2θ from 5° to 70°, in order of rising 2θ)
3.893 Å, 22.8 deg, I = 51.2, (0 0 2)
3.753 Å, 23.7 deg, I = 100.0, (3 1 0)
2.702 Å, 33.2 deg, I = 78.7, (3 1 2)
2.653 Å, 33.8 deg, I = 36.3, (2 4 0)
2.193 Å, 41.2 deg, I = 35.6, (2 4 2)
1.876 Å, 48.5 deg, I = 10.7, (6 2 0)
1.728 Å, 53.0 deg, I = 17.8, (3 1 4)
1.690 Å, 54.3 deg, I = 12.8, (6 2 2)
1.678 Å, 54.7 deg, I = 15.4, (5 5 0)
1.541 Å, 60.0 deg, I = 17.0, (5 5 2)

# CsPr2I6
Calculated PXRD pattern, Cu Kα X-rays. Input: a crystal structure in Alexandria, relaxed with PBE.

Atomic structure:
```
data_CsPr2I6
_chemical_formula_sum 'Cs1 Pr2 I6'
_cell_length_a 7.9780
_cell_length_b 7.9780
_cell_length_c 9.1518
_cell_angle_alpha 90.00
_cell_angle_beta 90.00
_cell_angle_gamma 120.00
_space_group_name_H-M_alt 'P -3 1 m'
_space_group_IT_number 162
_space_group_name_Hall '-P 3 2'
loop_
_atom_site_label
_atom_site_type_symbol
_atom_site_fract_x
_atom_site_fract_y
_atom_site_fract_z
Cs1 Cs 0.0000 0.0000 0.0000
Pr1 Pr 0.3333 0.6667 0.5000
I1 I 0.0000 0.3581 0.7078
```

Peak list (10 most intense, 2θ from 5° to 70°, in order of rising 2θ)
9.152 Å, 9.7 deg, I = 43.0, (0 0 1)
5.514 Å, 16.1 deg, I = 57.7, (1 0 1)
3.657 Å, 24.3 deg, I = 99.3, (2 -1 1)
3.007 Å, 29.7 deg, I = 100.0, (2 -1 2)
2.511 Å, 35.8 deg, I = 18.4, (3 -1 1)
2.423 Å, 37.1 deg, I = 32.0, (1 1 3)
2.303 Å, 39.1 deg, I = 45.8, (3 0 0)
1.984 Å, 45.7 deg, I = 25.8, (1 1 4)
1.829 Å, 49.9 deg, I = 26.1, (2 2 2)
1.432 Å, 65.1 deg, I = 29.4, (5 -1 2)

# Cs2Pr2I7
Calculated PXRD pattern, Cu Kα X-rays. Input: a crystal structure in Alexandria, relaxed with PBE.

Atomic structure:
```
data_Cs2Pr2I7
_chemical_formula_sum 'Cs4 Pr4 I14'
_cell_length_a 10.3410
_cell_length_b 12.1558
_cell_length_c 8.7625
_cell_angle_alpha 90.00
_cell_angle_beta 90.00
_cell_angle_gamma 90.00
_space_group_name_H-M_alt 'C m m m'
_space_group_IT_number 65
_space_group_name_Hall '-C 2 2'
loop_
_atom_site_label
_atom_site_type_symbol
_atom_site_fract_x
_atom_site_fract_y
_atom_site_fract_z
Cs1 Cs 0.2223 0.0000 0.0000
Pr1 Pr 0.0000 0.2819 0.5000
I1 I 0.0000 0.0000 0.5000
I2 I 0.0000 0.5000 0.2833
I3 I 0.2500 0.2500 0.2707
```

Peak list (10 most intense, 2θ from 5° to 70°, in order of rising 2θ)
8.762 Å, 10.1 deg, I = 19.3, (0 0 1)
4.994 Å, 17.8 deg, I = 26.0, (0 2 1)
4.453 Å, 19.9 deg, I = 49.2, (2 0 1)
3.829 Å, 23.2 deg, I = 19.7, (1 1 2)
3.039 Å, 29.4 deg, I = 40.8, (0 4 0)
2.929 Å, 30.5 deg, I = 100.0, (2 2 2)
2.859 Å, 31.3 deg, I = 24.4, (1 3 2)
2.585 Å, 34.7 deg, I = 27.2, (4 0 0)
2.512 Å, 35.8 deg, I = 23.7, (2 4 1)
1.969 Å, 46.1 deg, I = 21.2, (4 4 0)

# Cs4PrI6
Calculated PXRD pattern, Cu Kα X-rays. Input: a crystal structure in Alexandria, relaxed with PBE.

Atomic structure:
```
data_Cs4PrI6
_chemical_formula_sum 'Cs8 Pr2 I12'
_cell_length_a 10.4716
_cell_length_b 10.4716
_cell_length_c 10.8999
_cell_angle_alpha 90.00
_cell_angle_beta 90.00
_cell_angle_gamma 90.00
_space_group_name_H-M_alt 'P 4/m n c'
_space_group_IT_number 128
_space_group_name_Hall '-P 4 2n'
loop_
_atom_site_label
_atom_site_type_symbol
_atom_site_fract_x
_atom_site_fract_y
_atom_site_fract_z
Cs1 Cs 0.1670 0.3330 0.2500
Pr1 Pr 0.0000 0.0000 0.0000
I1 I 0.0000 0.0000 0.2931
I2 I 0.1000 0.7014 0.0000
```

Peak list (10 most intense, 2θ from 5° to 70°, in order of rising 2θ)
7.551 Å, 11.7 deg, I = 23.8, (1 0 1)
3.552 Å, 25.1 deg, I = 100.0, (2 1 2)
3.433 Å, 26.0 deg, I = 19.0, (1 0 3)
3.311 Å, 26.9 deg, I = 59.2, (3 1 0)
3.168 Å, 28.2 deg, I = 15.2, (3 1 1)
2.725 Å, 32.9 deg, I = 20.5, (0 0 4)
2.342 Å, 38.4 deg, I = 16.6, (4 2 0)
2.269 Å, 39.7 deg, I = 12.0, (3 2 3)
2.104 Å, 43.0 deg, I = 23.3, (3 1 4)
1.694 Å, 54.2 deg, I = 11.7, (2 1 6)

# Cs5Pr2I12
Calculated PXRD pattern, Cu Kα X-rays. Input: a crystal structure in Alexandria, relaxed with PBE.

Atomic structure:
```
data_Cs5Pr2I12
_chemical_formula_sum 'Cs10 Pr4 I24'
_cell_length_a 19.1219
_cell_length_b 11.2139
_cell_length_c 13.5067
_cell_angle_alpha 90.00
_cell_angle_beta 134.87
_cell_angle_gamma 90.00
_space_group_name_H-M_alt 'C 1 2/m 1'
_space_group_IT_number 12
_space_group_name_Hall '-C 2y'
loop_
_atom_site_label
_atom_site_type_symbol
_atom_site_fract_x
_atom_site_fract_y
_atom_site_fract_z
Cs1 Cs 0.0000 0.0000 0.0000
Cs2 Cs 0.2466 0.5000 0.9998
Cs3 Cs 0.2484 0.5000 0.4972
Pr1 Pr 0.0000 0.2500 0.5000
I1 I 0.9995 0.1847 0.2646
I2 I 0.0005 0.5000 0.3615
I3 I 0.1384 0.0000 0.6379
I4 I 0.2341 0.3151 0.7348
```

Peak list (10 most intense, 2θ from 5° to 70°, in order of rising 2θ)
9.567 Å, 9.2 deg, I = 97.5, (2 0 -1)
4.317 Å, 20.6 deg, I = 22.2, (2 2 -2)
3.639 Å, 24.5 deg, I = 59.9, (0 2 2)
3.382 Å, 26.3 deg, I = 100.0, (4 0 -4)
3.182 Å, 28.0 deg, I = 41.1, (3 3 -1)
3.179 Å, 28.1 deg, I = 34.0, (3 3 -2)
3.149 Å, 28.3 deg, I = 42.7, (3 1 -4)
2.878 Å, 31.1 deg, I = 30.4, (3 3 0)
2.662 Å, 33.7 deg, I = 51.7, (6 2 -2)
2.392 Å, 37.6 deg, I = 23.4, (0 0 4)

# CsPrI3
Calculated PXRD pattern, Cu Kα X-rays. Input: a crystal structure in Alexandria, relaxed with PBE.

Atomic structure:
```
data_CsPrI3
_chemical_formula_sum 'Cs2 Pr2 I6'
_cell_length_a 8.8784
_cell_length_b 8.8784
_cell_length_c 7.1232
_cell_angle_alpha 90.00
_cell_angle_beta 90.00
_cell_angle_gamma 120.00
_space_group_name_H-M_alt 'P 63/m m c'
_space_group_IT_number 194
_space_group_name_Hall '-P 6c 2c'
loop_
_atom_site_label
_atom_site_type_symbol
_atom_site_fract_x
_atom_site_fract_y
_atom_site_fract_z
Cs1 Cs 0.3333 0.6667 0.2500
Pr1 Pr 0.0000 0.0000 0.0000
I1 I 0.1750 0.3500 0.7500
```

Peak list (10 most intense, 2θ from 5° to 70°, in order of rising 2θ)
7.689 Å, 11.5 deg, I = 24.3, (1 0 0)
3.562 Å, 25.0 deg, I = 13.4, (0 0 2)
3.383 Å, 26.3 deg, I = 100.0, (2 0 1)
3.232 Å, 27.6 deg, I = 13.0, (1 0 2)
2.613 Å, 34.3 deg, I = 40.6, (2 0 2)
2.220 Å, 40.6 deg, I = 33.1, (2 2 0)
2.020 Å, 44.9 deg, I = 23.2, (2 0 3)
1.856 Å, 49.1 deg, I = 17.0, (4 0 1)
1.424 Å, 65.6 deg, I = 13.4, (4 2 1)
1.389 Å, 67.4 deg, I = 14.7, (2 2 4)

# CsPrSeI
Calculated PXRD pattern, Cu Kα X-rays. Input: a crystal structure in Alexandria, relaxed with PBE.

Atomic structure:
```
data_CsPrSeI
_chemical_formula_sum 'Cs2 Pr2 Se2 I2'
_cell_length_a 7.6657
_cell_length_b 4.4317
_cell_length_c 9.4603
_cell_angle_alpha 90.00
_cell_angle_beta 105.64
_cell_angle_gamma 90.00
_space_group_name_H-M_alt 'C 1 m 1'
_space_group_IT_number 8
_space_group_name_Hall 'C -2y'
loop_
_atom_site_label
_atom_site_type_symbol
_atom_site_fract_x
_atom_site_fract_y
_atom_site_fract_z
Cs1 Cs 0.0000 0.0000 0.0000
Pr1 Pr 0.1905 0.0000 0.5726
Se1 Se 0.0812 0.5000 0.7431
I1 I 0.2790 0.5000 0.3379
```

Peak list (10 most intense, 2θ from 5° to 70°, in order of rising 2θ)
3.798 Å, 23.4 deg, I = 14.6, (1 1 0)
3.693 Å, 24.1 deg, I = 11.8, (2 0 0)
3.345 Å, 26.7 deg, I = 22.1, (2 0 -2)
3.140 Å, 28.4 deg, I = 100.0, (2 0 1)
2.736 Å, 32.7 deg, I = 11.6, (1 1 2)
2.226 Å, 40.5 deg, I = 30.7, (1 1 3)
2.214 Å, 40.7 deg, I = 40.1, (0 2 0)
1.810 Å, 50.4 deg, I = 20.1, (2 2 1)
1.789 Å, 51.0 deg, I = 10.6, (3 1 -4)
1.401 Å, 66.8 deg, I = 17.2, (5 1 0)